1.
Starting from the PBE geometry in Alexandria, the X-ray powder pattern of Tb4ScSe7 was computed for a wavelength of 1.5418 Å.
Kinematic intensities with the Lorentz-polarization factor, no thermal factor.

Structure:
Cell lengths 13.249, 3.952, 12.110 Å; angles 90.00, 104.61, 90.00 degrees
Space group Cm (No. 8)
Unique sites:
Tb  0.000  0.000  0.000
Tb  0.087  0.500  0.375
Tb  0.189  0.000  0.763
Tb  0.387  0.500  0.568
Sc  0.276  0.500  0.148
Se  0.048  0.500  0.621
Se  0.133  0.500  0.930
Se  0.156  0.000  0.218
Se  0.226  0.000  0.519
Se  0.351  0.500  0.787
Se  0.382  0.000  0.076
Se  0.423  0.500  0.347

Largest 8 diffraction maxima, sorted by position, 2θ = 10–90°:
h k l, 2theta, d/Å, I (rel.)
2 0 2, 23.00, 3.866, 83
2 0 -3, 23.51, 3.784, 91
3 1 -1, 30.45, 2.935, 83
3 1 0, 30.81, 2.902, 86
3 1 -2, 31.99, 2.798, 98
3 1 1, 33.05, 2.710, 100
1 1 4, 40.34, 2.236, 70
0 2 0, 45.92, 1.976, 68



2.
Starting from the PBE geometry in Alexandria, the X-ray powder pattern of AcTlAs2O8 was computed for a wavelength of 1.5418 Å.
Kinematic intensities with the Lorentz-polarization factor, no thermal factor.

Structure:
Cell lengths 7.564, 7.564, 6.522 Å; angles 90.00, 90.00, 90.00 degrees
Space group I-4m2 (No. 119)
Unique sites:
Ac  0.000  0.000  0.000
Tl  0.000  0.500  0.250
As  0.000  0.000  0.500
As  0.000  0.500  0.750
O  0.000  0.178  0.334
O  0.000  0.330  0.927

Largest 8 diffraction maxima, sorted by position, 2θ = 10–90°:
h k l, 2theta, d/Å, I (rel.)
1 0 1, 17.96, 4.940, 30
2 0 0, 23.52, 3.782, 100
1 1 2, 32.15, 2.784, 72
2 2 0, 33.51, 2.674, 27
3 1 2, 47.12, 1.929, 61
4 2 0, 54.23, 1.691, 16
3 3 2, 59.05, 1.564, 18
5 1 2, 69.63, 1.350, 16